1.
Starting from a DFT-relaxed cell (GGA-PBE, Alexandria), the powder diffraction line list of PaTlAu was calculated for a wavelength of 1.5418 Å.

Largest 10 diffraction maxima, by angle, 2θ = 10–80°:
| 2theta | I_rel |
| --- | --- |
| 22.51 | 24 |
| 26.04 | 17 |
| 37.16 | 100 |
| 43.88 | 13 |
| 45.94 | 5 |
| 53.57 | 18 |
| 58.82 | 6 |
| 60.51 | 7 |
| 67.00 | 37 |
| 79.18 | 12 |

Structure:
```
12
Lattice="6.8427 0.0000 0.0000 0.0000 6.8427 0.0000 0.0000 0.0000 6.8427" Properties=species:S:1:pos:R:3 pbc="T T T"
Pa 0.0000 0.0000 0.0000
Pa 0.0000 3.4213 3.4213
Pa 3.4213 0.0000 3.4213
Pa 3.4213 3.4213 0.0000
Tl 0.0000 0.0000 3.4213
Tl 0.0000 3.4213 0.0000
Tl 3.4213 0.0000 0.0000
Tl 3.4213 3.4213 3.4213
Au 1.7107 1.7107 1.7107
Au 1.7107 5.1320 5.1320
Au 5.1320 1.7107 5.1320
Au 5.1320 5.1320 1.7107
```

2.
Starting from a DFT-relaxed cell (GGA-PBE, Alexandria), the powder diffraction line list of Tm2PaAu was calculated for a wavelength of 1.5418 Å.

Largest 10 diffraction maxima, by angle, 2θ = 10–80°:
| 2theta | I_rel |
| --- | --- |
| 33.85 | 100 |
| 36.49 | 44 |
| 44.44 | 10 |
| 52.56 | 16 |
| 58.80 | 17 |
| 62.93 | 3 |
| 64.00 | 33 |
| 71.22 | 10 |
| 75.02 | 6 |
| 77.53 | 5 |

Structure:
```
4
Lattice="3.4823 0.0000 0.0000 0.0000 3.4823 0.0000 0.0000 0.0000 8.1549" Properties=species:S:1:pos:R:3 pbc="T T T"
Tm 0.0000 0.0000 1.7991
Tm 0.0000 0.0000 6.3558
Pa 1.7412 1.7412 4.0774
Au 1.7412 1.7412 0.0000
```

3.
Starting from a DFT-relaxed cell (GGA-PBE, Alexandria), the powder diffraction line list of Pa2Zn3Au4 was calculated for a wavelength of 1.5418 Å.

Largest 10 diffraction maxima, by angle, 2θ = 10–80°:
| 2theta | I_rel |
| --- | --- |
| 25.65 | 13 |
| 32.53 | 37 |
| 34.65 | 100 |
| 36.37 | 41 |
| 36.63 | 22 |
| 38.33 | 60 |
| 38.46 | 19 |
| 49.80 | 13 |
| 56.85 | 15 |
| 59.39 | 15 |

Structure:
```
18
Lattice="2.9370 -7.7515 0.0000 2.9370 7.7515 0.0000 0.0000 0.0000 7.8187" Properties=species:S:1:pos:R:3 pbc="T T T"
Pa 2.9370 5.9913 7.1359
Pa 2.9370 1.7602 3.2265
Pa 2.9370 -1.7602 4.5922
Pa 2.9370 -5.9913 0.6828
Zn 0.0000 0.0000 3.9093
Zn 1.4685 3.4374 5.8640
Zn 1.4685 -3.4374 1.9547
Zn 2.9370 0.0000 0.0000
Zn 4.4055 3.4374 5.8640
Zn 4.4055 -3.4374 1.9547
Au 2.9370 4.9418 4.1778
Au 1.4685 0.7647 5.8640
Au 1.4685 -0.7647 1.9547
Au 2.9370 2.8097 0.2684
Au 2.9370 -2.8097 7.5502
Au 4.4055 0.7647 5.8640
Au 4.4055 -0.7647 1.9547
Au 2.9370 -4.9418 3.6409
```

4.
Starting from a DFT-relaxed cell (GGA-PBE, Alexandria), the powder diffraction line list of PaZn10Au2 was calculated for a wavelength of 1.5418 Å.

Largest 10 diffraction maxima, by angle, 2θ = 10–80°:
| 2theta | I_rel |
| --- | --- |
| 13.94 | 49 |
| 27.70 | 24 |
| 31.59 | 27 |
| 34.29 | 36 |
| 38.94 | 100 |
| 39.83 | 36 |
| 39.98 | 33 |
| 40.22 | 59 |
| 44.06 | 37 |
| 72.25 | 25 |

Structure:
```
13
Lattice="0.0000 6.3265 6.3576 2.6992 0.0000 6.3576 2.6992 6.3265 0.0000" Properties=species:S:1:pos:R:3 pbc="T T T"
Pa 0.0000 0.0000 0.0000
Zn 1.3496 0.0000 3.1788
Zn 2.6992 4.1118 2.2870
Zn 2.6992 5.0071 4.9684
Zn 2.6992 8.5412 2.2870
Zn 2.6992 7.6459 4.9684
Zn 1.3496 6.3265 3.1788
Zn 2.6992 5.0071 7.7468
Zn 2.6992 4.1118 10.4282
Zn 2.6992 7.6459 7.7468
Zn 2.6992 8.5412 10.4282
Au 1.3496 3.1633 0.0000
Au 1.3496 3.1633 6.3576
```

5.
Starting from a DFT-relaxed cell (GGA-PBE, Alexandria), the powder diffraction line list of Pa3Zn7Au2 was calculated for a wavelength of 1.5418 Å.

Largest 10 diffraction maxima, by angle, 2θ = 10–80°:
| 2theta | I_rel |
| --- | --- |
| 19.62 | 23 |
| 30.06 | 12 |
| 33.55 | 46 |
| 39.15 | 100 |
| 39.84 | 17 |
| 53.04 | 14 |
| 59.98 | 9 |
| 63.75 | 22 |
| 70.51 | 13 |
| 71.86 | 9 |

Structure:
```
12
Lattice="2.6712 1.5422 9.0510 -2.6712 1.5422 9.0510 0.0000 -3.0845 9.0510" Properties=species:S:1:pos:R:3 pbc="T T T"
Pa 0.0000 0.0000 0.0000
Pa 0.0000 0.0000 4.1279
Pa 0.0000 0.0000 23.0250
Zn -1.3599 -0.7852 11.3133
Zn 0.0000 -1.5703 15.8396
Zn -1.3599 0.7852 15.8396
Zn 0.0000 0.0000 13.5764
Zn 1.3599 -0.7852 11.3133
Zn 0.0000 1.5703 11.3133
Zn 1.3599 0.7852 15.8396
Au 0.0000 0.0000 9.1229
Au 0.0000 0.0000 18.0300
```

6.
Starting from a DFT-relaxed cell (GGA-PBE, Alexandria), the powder diffraction line list of PaZn9Au2 was calculated for a wavelength of 1.5418 Å.

Largest 10 diffraction maxima, by angle, 2θ = 10–80°:
| 2theta | I_rel |
| --- | --- |
| 22.57 | 74 |
| 32.87 | 99 |
| 33.60 | 45 |
| 37.05 | 100 |
| 37.70 | 67 |
| 39.62 | 52 |
| 44.39 | 54 |
| 46.07 | 69 |
| 47.71 | 34 |
| 58.22 | 41 |

Structure:
```
24
Lattice="-5.3349 5.3349 3.4926 5.3349 -5.3349 3.4926 5.3349 5.3349 -3.4926" Properties=species:S:1:pos:R:3 pbc="T T T"
Pa 5.3349 2.6675 0.8732
Pa 0.0000 2.6675 2.6195
Zn 5.3349 -2.6675 2.6195
Zn 4.0534 -0.4529 1.1903
Zn 6.6164 -0.4529 1.1903
Zn 2.2145 1.3860 0.5560
Zn 8.4553 1.3860 0.5560
Zn 4.0534 4.8820 -1.1903
Zn 1.2815 -0.4529 2.3023
Zn 2.2145 3.9489 0.5560
Zn 3.1204 -1.3860 4.0486
Zn 2.2145 6.7209 -0.5560
Zn 3.1204 1.3860 2.9366
Zn 4.0534 5.7878 1.1903
Zn 1.2815 0.4529 4.6829
Zn -3.1204 3.9489 2.9366
Zn 3.1204 3.9489 2.9366
Zn -1.2815 5.7878 2.3023
Zn 1.2815 5.7878 2.3023
Zn 0.0000 8.0024 0.8732
Au 0.0000 0.0000 0.0000
Au 2.6675 2.6675 -1.7463
Au 2.6675 -2.6675 1.7463
Au 0.0000 5.3349 0.0000
```

7.
Starting from a DFT-relaxed cell (GGA-PBE, Alexandria), the powder diffraction line list of Pa2Zn16Au was calculated for a wavelength of 1.5418 Å.

Largest 10 diffraction maxima, by angle, 2θ = 10–80°:
| 2theta | I_rel |
| --- | --- |
| 19.76 | 31 |
| 28.38 | 40 |
| 34.57 | 67 |
| 35.66 | 46 |
| 40.13 | 83 |
| 40.35 | 100 |
| 41.05 | 63 |
| 41.31 | 28 |
| 58.75 | 29 |
| 72.92 | 31 |

Structure:
```
19
Lattice="4.4940 2.5946 4.4022 -4.4940 2.5946 4.4022 0.0000 -5.1892 4.4022" Properties=species:S:1:pos:R:3 pbc="T T T"
Pa 0.0000 0.0000 0.0000
Pa 0.0000 0.0000 4.2317
Zn 0.0000 -2.5121 2.3234
Zn -2.1756 1.2561 2.3234
Zn -2.2156 -1.2792 6.5077
Zn 0.0000 -2.6720 6.2978
Zn -2.3140 1.3360 6.2978
Zn -1.3318 -2.3019 8.7155
Zn -2.6594 -0.0024 8.7155
Zn 2.1756 1.2561 2.3234
Zn 0.0000 0.0000 7.3388
Zn 2.2156 -1.2792 6.5077
Zn 0.0000 2.5583 6.5077
Zn 1.3318 -2.3019 8.7155
Zn -1.3276 2.3043 8.7155
Zn 2.3140 1.3360 6.2978
Zn 2.6594 -0.0024 8.7155
Zn 1.3276 2.3043 8.7155
Au 0.0000 0.0000 10.0907
```

8.
Starting from a DFT-relaxed cell (GGA-PBE, Alexandria), the powder diffraction line list of PaZn4Au8 was calculated for a wavelength of 1.5418 Å.

Largest 10 diffraction maxima, by angle, 2θ = 10–80°:
| 2theta | I_rel |
| --- | --- |
| 27.06 | 18 |
| 33.14 | 29 |
| 33.27 | 37 |
| 38.50 | 18 |
| 38.63 | 100 |
| 43.30 | 35 |
| 43.41 | 18 |
| 51.85 | 17 |
| 62.87 | 17 |
| 69.90 | 37 |

Structure:
```
13
Lattice="-4.6587 4.6587 2.7034 4.6587 -4.6587 2.7034 4.6587 4.6587 -2.7034" Properties=species:S:1:pos:R:3 pbc="T T T"
Pa 0.0000 0.0000 0.0000
Zn 2.3293 2.3293 -1.3517
Zn 2.3293 -2.3293 1.3517
Zn -2.3293 2.3293 1.3517
Zn 2.3293 2.3293 1.3517
Au 3.0712 0.0000 0.0000
Au 6.2461 0.0000 0.0000
Au 4.6587 2.6515 0.0000
Au 0.0000 3.0712 0.0000
Au 2.6515 4.6587 0.0000
Au 2.0072 0.0000 2.7034
Au 0.0000 6.2461 0.0000
Au 0.0000 2.0072 2.7034
```